Starting from the PBE geometry in Alexandria, the powder XRD pattern of UCoNiOs was computed for Cu Kα X-rays.
No peak broadening, texture or thermal motion is included.

Largest 10 diffraction maxima, by angle, 2θ = 10–80°:
2θ (°)	d (Å)	intensity
22.73	3.912	29
32.78	2.732	24
40.27	2.240	100
46.03	1.972	17
46.42	1.956	17
48.04	1.894	15
57.99	1.590	10
67.44	1.389	11
68.72	1.366	10
69.03	1.361	10

Crystal structure
a = 3.7877 Å, b = 3.9120 Å, c = 3.9437 Å
α = 90.00°, β = 90.00°, γ = 90.00°
Fractional coordinates of all 4 atoms:
U1 0.0000 0.0000 0.0000
Co1 0.5000 0.5000 0.0000
Ni1 0.0000 0.5000 0.5000
Os1 0.5000 0.0000 0.5000


Starting from the PBE geometry in Alexandria, the powder XRD pattern of Rb2Tc3Se6 was computed for Cu Kα X-rays.
No peak broadening, texture or thermal motion is included.

Largest 10 diffraction maxima, by angle, 2θ = 10–80°:
2θ (°)	d (Å)	intensity
12.05	7.342	88
12.21	7.252	100
29.32	3.046	28
29.86	2.992	28
30.23	2.956	46
30.76	2.906	54
32.82	2.728	28
44.28	2.046	47
44.85	2.021	42
48.17	1.889	25

Crystal structure
a = 10.3395 Å, b = 10.3395 Å, c = 12.6573 Å
α = 91.31°, β = 91.31°, γ = 59.75°
Fractional coordinates of all 44 atoms:
Rb1 0.1226 0.8774 0.7500
Rb2 0.1359 0.6384 0.9832
Rb3 0.2811 0.7189 0.2500
Rb4 0.3616 0.8641 0.5168
Rb5 0.6384 0.1359 0.4832
Rb6 0.7189 0.2811 0.7500
Rb7 0.8641 0.3616 0.0168
Rb8 0.8774 0.1226 0.2500
Tc1 0.0376 0.3836 0.6218
Tc2 0.0976 0.3247 0.4158
Tc3 0.1816 0.4964 0.5219
Tc4 0.3247 0.0976 0.9158
Tc5 0.3836 0.0376 0.1218
Tc6 0.4964 0.1816 0.0219
Tc7 0.5036 0.8184 0.9781
Tc8 0.6164 0.9624 0.8782
Tc9 0.6753 0.9024 0.0842
Tc10 0.8184 0.5036 0.4781
Tc11 0.9024 0.6753 0.5842
Tc12 0.9624 0.6164 0.3782
Se1 0.0431 0.7769 0.4837
Se2 0.0765 0.2256 0.7959
Se3 0.1185 0.5475 0.7153
Se4 0.2198 0.2996 0.0591
Se5 0.2231 0.9569 0.0163
Se6 0.2256 0.0765 0.2959
Se7 0.2323 0.4357 0.3281
Se8 0.2996 0.2198 0.5591
Se9 0.4272 0.5043 0.5772
Se10 0.4357 0.2323 0.8281
Se11 0.4525 0.8815 0.7847
Se12 0.4957 0.5728 0.9228
Se13 0.5043 0.4272 0.0772
Se14 0.5475 0.1185 0.2153
Se15 0.5643 0.7677 0.1719
Se16 0.5728 0.4957 0.4228
Se17 0.7004 0.7802 0.4409
Se18 0.7677 0.5643 0.6719
Se19 0.7744 0.9235 0.7041
Se20 0.7769 0.0431 0.9837
Se21 0.7802 0.7004 0.9409
Se22 0.8815 0.4525 0.2847
Se23 0.9235 0.7744 0.2041
Se24 0.9569 0.2231 0.5163